For CsRu2Cl8, a DFT-relaxed cell (PBE, Alexandria) gives the calculated powder diffractogram in this record (Cu Kα (λ = 1.5418 Å)).
Neutral-atom scattering factors, no anomalous dispersion.

Crystal structure
Cell lengths 6.972, 4.822, 10.190 Å; angles 90.00, 94.86, 90.00 degrees
Space group P2/m (No. 10)
Asymmetric unit:
Cs 0.000 0.000 0.000 (multiplicity 1)
Ru 0.453 0.500 0.673 (multiplicity 2)
Cl 0.171 0.500 0.776 (multiplicity 2)
Cl 0.278 0.500 0.460 (multiplicity 2)
Cl 0.347 0.500 0.134 (multiplicity 2)
Cl 0.456 0.000 0.674 (multiplicity 2)

Top 10 peaks for 10° ≤ 2θ ≤ 90°, by angle:
h k l, Position (°2θ), I/Imax
1 0 0, 12.74, 462
1 0 -1, 14.83, 353
1 0 1, 16.06, 1000
0 1 0, 18.40, 393
0 1 1, 20.39, 458
1 0 -2, 20.78, 531
1 1 0, 22.45, 679
2 0 -3, 35.38, 588
1 1 3, 35.72, 371
0 2 0, 37.30, 452